Structure and simulated X-ray powder pattern of Tb2TmIn3CuPd2 (a crystal structure in OQMD, relaxed with GGA-PBE; CuKα).

Main lines, sorted by position (10 to 80 degrees two-theta):
Position (°2θ)	Rel. int.
33.02	100
35.77	96
35.88	35
40.81	19
43.09	16
47.27	21
60.71	23
66.13	17

```
data_Tb2TmIn3CuPd2
_symmetry_space_group_name_H-M 'A m m 2'
_symmetry_Int_Tables_number 38
_cell_length_a 3.8461
_cell_length_b 13.2337
_cell_length_c 7.6655
_cell_angle_alpha 90.00
_cell_angle_beta 90.00
_cell_angle_gamma 90.00
loop_
_symmetry_equiv_pos_as_xyz
'x,y,z'
'-x,-y,z'
'-x,y,z'
'x,-y,z'
'x,y+1/2,z+1/2'
'-x,-y+1/2,z+1/2'
'-x,y+1/2,z+1/2'
'x,-y+1/2,z+1/2'
loop_
_atom_site_label
_atom_site_type_symbol
_atom_site_fract_x
_atom_site_fract_y
_atom_site_fract_z
Tb1 Tb 0.0000 0.2048 0.0000
Tm1 Tm 0.0000 0.0000 0.3855
In1 In 0.5000 0.0000 0.0478
In2 In 0.5000 0.1254 0.6684
Cu1 Cu 0.0000 0.0000 0.7940
Pd1 Pd 0.5000 0.1651 0.2957
```